# 1
Theoretical XRD peak list
Compound: Cu3O2
Radiation: a wavelength of 1.5418 Å
Structure: the GGA-PBE geometry in the Materials Project

Main lines, low angle first (2θ from 10° to 90°):
| two_theta | intensity | h k l |
| --- | --- | --- |
| 25.13 | 539 | 1 0 1 |
| 31.26 | 344 | 1 1 0 |
| 39.94 | 1000 | 1 1 2 |
| 43.18 | 123 | 1 0 3 |
| 44.80 | 654 | 2 0 0 |
| 49.63 | 235 | 0 0 4 |
| 52.05 | 137 | 2 1 1 |
| 65.22 | 188 | 2 2 0 |
| 69.07 | 310 | 2 0 4 |
| 79.29 | 249 | 3 1 2 |
| 86.17 | 160 | 2 2 4 |
| 86.44 | 100 | 1 1 6 |

Cell lengths 4.046, 4.046, 7.347 Å; angles 90.00, 90.00, 90.00 degrees
Space group I4/mmm (No. 139)
Asymmetric unit:
Cu 0.000 0.000 0.000 x2
Cu 0.000 0.500 0.250 x4
O 0.000 0.500 0.000 x4

=====

# 2
Theoretical XRD peak list
Compound: Mg14NbBiO16
Radiation: a wavelength of 1.5418 Å
Structure: the GGA-PBE geometry in the Materials Project

Main lines, low angle first (2θ from 10° to 90°):
| two_theta | intensity | h k l |
| --- | --- | --- |
| 10.07 | 1000 | 0 1 0 |
| 22.38 | 398 | 1 1 0 |
| 22.55 | 394 | 0 1 2 |
| 28.51 | 404 | 1 2 0 |
| 30.28 | 458 | 1 1 2 |
| 35.17 | 582 | 1 2 2 |
| 40.52 | 526 | 2 0 0 |
| 40.87 | 509 | 0 0 4 |
| 41.13 | 487 | 0 4 0 |
| 58.91 | 312 | 2 0 4 |
| 59.11 | 301 | 2 4 0 |
| 59.38 | 295 | 0 4 4 |

Cell lengths 4.453, 8.779, 8.831 Å; angles 90.00, 90.00, 90.00 degrees
Space group Pmmm (No. 47)
Asymmetric unit:
Mg 0.000 0.000 0.000 x1
Mg 0.000 0.000 0.500 x1
Mg 0.000 0.240 0.245 x4
Mg 0.500 0.000 0.248 x2
Mg 0.500 0.236 0.500 x2
Mg 0.500 0.244 0.000 x2
Mg 0.500 0.500 0.240 x2
Nb 0.000 0.500 0.000 x1
Bi 0.000 0.500 0.500 x1
O 0.000 0.000 0.246 x2
O 0.000 0.226 0.500 x2
O 0.000 0.237 0.000 x2
O 0.000 0.500 0.243 x2
O 0.500 0.000 0.000 x1
O 0.500 0.000 0.500 x1
O 0.500 0.251 0.250 x4
O 0.500 0.500 0.000 x1
O 0.500 0.500 0.500 x1